Record 1
Starting from a GGA-PBE-relaxed structure, the X-ray powder pattern of Dy3HfS6 was calculated for Cu Kα (weighted mean of Kα1 and Kα2).
Intensities are scaled so that the largest is 100.

Unit cell a=7.8088 b=7.8088 c=7.8088 alpha=97.96 beta=97.96 gamma=97.96
Sites, in units of the cell vectors:
Dy 0.1228 0.7922 0.6152
Dy 0.2078 0.3848 0.8772
Dy 0.3848 0.8772 0.2078
Dy 0.6152 0.1228 0.7922
Dy 0.7922 0.6152 0.1228
Dy 0.8772 0.2078 0.3848
Hf 0.0000 0.0000 0.0000
Hf 0.5000 0.5000 0.5000
S 0.0667 0.6894 0.9251
S 0.0749 0.9333 0.3106
S 0.1821 0.4306 0.5369
S 0.3106 0.0749 0.9333
S 0.4306 0.5369 0.1821
S 0.4631 0.8179 0.5694
S 0.5369 0.1821 0.4306
S 0.5694 0.4631 0.8179
S 0.6894 0.9251 0.0667
S 0.8179 0.5694 0.4631
S 0.9251 0.0667 0.6894
S 0.9333 0.3106 0.0749

Top 6 peaks for 2θ = 5–70°, by intensity:
| two_theta | d (Å) | intensity |
| --- | --- | --- |
| 24.34 | 3.657 | 100 |
| 27.83 | 3.206 | 89 |
| 39.08 | 2.305 | 79 |
| 40.51 | 2.227 | 52 |
| 35.34 | 2.540 | 48 |
| 23.20 | 3.833 | 41 |

Record 2
Starting from a GGA-PBE-relaxed structure, the X-ray powder pattern of Y4ScP was calculated for Cu Kα (weighted mean of Kα1 and Kα2).
Intensities are scaled so that the largest is 100.

Unit cell a=6.3059 b=6.3059 c=6.3059 alpha=60.00 beta=60.00 gamma=60.00
Sites, in units of the cell vectors:
Y 0.3760 0.3760 0.3760
Y 0.3760 0.3760 0.8720
Y 0.3760 0.8720 0.3760
Y 0.8720 0.3760 0.3760
Sc 0.7500 0.7500 0.7500
P 0.0000 0.0000 0.0000

Top 6 peaks for 2θ = 5–70°, by intensity:
| two_theta | d (Å) | intensity |
| --- | --- | --- |
| 33.32 | 2.689 | 100 |
| 34.85 | 2.574 | 70 |
| 17.22 | 5.149 | 51 |
| 53.38 | 1.716 | 33 |
| 58.55 | 1.576 | 32 |
| 69.98 | 1.344 | 26 |

Record 3
Starting from a GGA-PBE-relaxed structure, the X-ray powder pattern of Tb3Mg11 was calculated for Cu Kα (weighted mean of Kα1 and Kα2).
Intensities are scaled so that the largest is 100.

Unit cell a=8.8514 b=8.8514 c=8.8514 alpha=147.26 beta=100.60 gamma=88.56
Sites, in units of the cell vectors:
Tb 0.0000 0.0000 0.0000
Tb 0.2811 0.2811 0.0000
Tb 0.7189 0.7189 0.0000
Mg 0.0054 0.6331 0.3723
Mg 0.1280 0.8550 0.2730
Mg 0.2608 0.6331 0.6277
Mg 0.3452 0.5000 0.8452
Mg 0.4179 0.1450 0.2730
Mg 0.5000 0.0000 0.5000
Mg 0.5821 0.8550 0.7270
Mg 0.6548 0.5000 0.1548
Mg 0.7392 0.3669 0.3723
Mg 0.8720 0.1450 0.7270
Mg 0.9946 0.3669 0.6277

Top 6 peaks for 2θ = 5–70°, by intensity:
| two_theta | d (Å) | intensity |
| --- | --- | --- |
| 19.45 | 4.565 | 100 |
| 31.95 | 2.801 | 85 |
| 15.67 | 5.654 | 76 |
| 34.46 | 2.603 | 70 |
| 29.70 | 3.008 | 64 |
| 32.39 | 2.764 | 43 |